[1]
Structure and calculated X-ray diffraction stick pattern of HXeF7 (DFT lattice parameters and positions (GGA-PBE); λ = 1.5418 Å (Cu Kα)).
No peak broadening, texture or thermal motion is included.

Atomic structure:
```
HXeF7
1.0
8.4926 4.9032 3.8061
-8.4926 4.9032 3.8061
0.0000 -9.8064 3.8061
H Xe F
6 6 42
Direct
0.1807 0.5641 0.6416
0.3584 0.8193 0.4359
0.4359 0.3584 0.8193
0.5641 0.6416 0.1807
0.6416 0.1807 0.5641
0.8193 0.4359 0.3584
0.0055 0.7301 0.6408
0.2699 0.3592 0.9945
0.3592 0.9945 0.2699
0.6408 0.0055 0.7301
0.7301 0.6408 0.0055
0.9945 0.2699 0.3592
0.0310 0.1266 0.2186
0.0364 0.4209 0.5779
0.0774 0.6909 0.8210
0.0912 0.3004 0.8107
0.0985 0.1989 0.4942
0.1266 0.2186 0.0310
0.1790 0.9226 0.3091
0.1893 0.9088 0.6996
0.1959 0.4187 0.4082
0.1989 0.4942 0.0985
0.2186 0.0310 0.1266
0.2364 0.6676 0.6639
0.3004 0.8107 0.0912
0.3091 0.1790 0.9226
0.3324 0.3361 0.7636
0.3361 0.7636 0.3324
0.4082 0.1959 0.4187
0.4187 0.4082 0.1959
0.4209 0.5779 0.0364
0.4221 0.9636 0.5791
0.4942 0.0985 0.1989
0.5058 0.9015 0.8011
0.5779 0.0364 0.4209
0.5791 0.4221 0.9636
0.5813 0.5918 0.8041
0.5918 0.8041 0.5813
0.6639 0.2364 0.6676
0.6676 0.6639 0.2364
0.6909 0.8210 0.0774
0.6996 0.1893 0.9088
0.7636 0.3324 0.3361
0.7814 0.9690 0.8734
0.8011 0.5058 0.9015
0.8041 0.5813 0.5918
0.8107 0.0912 0.3004
0.8210 0.0774 0.6909
0.8734 0.7814 0.9690
0.9015 0.8011 0.5058
0.9088 0.6996 0.1893
0.9226 0.3091 0.1790
0.9636 0.5791 0.4221
0.9690 0.8734 0.7814
```

Main lines, most intense first (10° ≤ 2θ ≤ 90°):
2θ/deg  d (Å)  Rel. int.
17.74  4.999  100
14.32  6.183  40
22.32  3.983  38
16.66  5.322  33
18.09  4.903  23
23.15  3.842  21
45.28  2.003  16
27.79  3.210  14
37.51  2.398  14
29.71  3.007  13

---

[2]
Structure and calculated X-ray diffraction stick pattern of Rb2HgBiI6 (DFT lattice parameters and positions (GGA-PBE); λ = 1.5418 Å (Cu Kα)).
No peak broadening, texture or thermal motion is included.

Atomic structure:
```
Rb2HgBiI6
1.0
0.0000 6.2273 6.2273
6.2273 0.0000 6.2273
6.2273 6.2273 0.0000
Rb Hg Bi I
2 1 1 6
Direct
0.2500 0.2500 0.2500
0.7500 0.7500 0.7500
0.0000 0.0000 0.0000
0.5000 0.5000 0.5000
0.2515 0.2515 0.7485
0.2515 0.7485 0.2515
0.2515 0.7485 0.7485
0.7485 0.2515 0.2515
0.7485 0.2515 0.7485
0.7485 0.7485 0.2515
```

Main lines, most intense first (10° ≤ 2θ ≤ 90°):
2θ/deg  d (Å)  Rel. int.
28.67  3.114  100
40.99  2.202  76
14.22  6.227  67
32.14  2.785  39
67.23  1.392  35
24.76  3.595  30
20.17  4.403  28
50.79  1.798  27
74.67  1.271  26
43.60  2.076  21

---

[3]
Structure and calculated X-ray diffraction stick pattern of Ba4LiBi3O12 (DFT lattice parameters and positions (GGA-PBE); λ = 1.5418 Å (Cu Kα)).
No peak broadening, texture or thermal motion is included.

Atomic structure:
```
Ba4LiBi3O12
1.0
-4.3188 4.3188 4.3188
4.3188 -4.3188 4.3188
4.3188 4.3188 -4.3188
Ba Li Bi O
4 1 3 12
Direct
0.0000 0.0000 0.5000
0.0000 0.5000 0.0000
0.5000 0.0000 0.0000
0.5000 0.5000 0.5000
0.0000 0.0000 0.0000
0.0000 0.5000 0.5000
0.5000 0.0000 0.5000
0.5000 0.5000 0.0000
0.0000 0.2611 0.2611
0.0000 0.7389 0.7389
0.2500 0.5000 0.7500
0.2500 0.7500 0.5000
0.2611 0.0000 0.2611
0.2611 0.2611 0.0000
0.5000 0.2500 0.7500
0.5000 0.7500 0.2500
0.7389 0.0000 0.7389
0.7389 0.7389 0.0000
0.7500 0.2500 0.5000
0.7500 0.5000 0.2500
```

Main lines, most intense first (10° ≤ 2θ ≤ 90°):
2θ/deg  d (Å)  Rel. int.
29.24  3.054  100
51.86  1.763  42
41.83  2.159  29
83.81  1.154  23
60.65  1.527  19
68.73  1.366  19
14.50  6.108  18
25.26  3.526  10
76.39  1.247  6
39.02  2.309  6

---

Please write out number 3 again, unchanged.
Structure and calculated X-ray diffraction stick pattern of Ba4LiBi3O12 (DFT lattice parameters and positions (GGA-PBE); λ = 1.5418 Å (Cu Kα)).
No peak broadening, texture or thermal motion is included.

Atomic structure:
```
Ba4LiBi3O12
1.0
-4.3188 4.3188 4.3188
4.3188 -4.3188 4.3188
4.3188 4.3188 -4.3188
Ba Li Bi O
4 1 3 12
Direct
0.0000 0.0000 0.5000
0.0000 0.5000 0.0000
0.5000 0.0000 0.0000
0.5000 0.5000 0.5000
0.0000 0.0000 0.0000
0.0000 0.5000 0.5000
0.5000 0.0000 0.5000
0.5000 0.5000 0.0000
0.0000 0.2611 0.2611
0.0000 0.7389 0.7389
0.2500 0.5000 0.7500
0.2500 0.7500 0.5000
0.2611 0.0000 0.2611
0.2611 0.2611 0.0000
0.5000 0.2500 0.7500
0.5000 0.7500 0.2500
0.7389 0.0000 0.7389
0.7389 0.7389 0.0000
0.7500 0.2500 0.5000
0.7500 0.5000 0.2500
```

Main lines, most intense first (10° ≤ 2θ ≤ 90°):
2θ/deg  d (Å)  Rel. int.
29.24  3.054  100
51.86  1.763  42
41.83  2.159  29
83.81  1.154  23
60.65  1.527  19
68.73  1.366  19
14.50  6.108  18
25.26  3.526  10
76.39  1.247  6
39.02  2.309  6